Record 1
# Er3Al2Ga3
Calculated XRD peak list, Cu Ka. Input: a structure optimized by DFT (PBE).
Intensities are scaled so that the largest is 100.

Atomic structure:
```
Er3Al2Ga3
1.0
2.1483 -5.4341 0.0000
2.1483 5.4341 0.0000
0.0000 0.0000 14.3868
Er Al Ga
6 4 6
direct
0.0731 0.9269 0.6162
0.0731 0.9269 0.8838
0.3572 0.6428 0.7500
0.6428 0.3572 0.2500
0.9269 0.0731 0.1162
0.9269 0.0731 0.3838
0.2172 0.7828 0.0986
0.2172 0.7828 0.4014
0.7828 0.2172 0.5986
0.7828 0.2172 0.9014
0.3553 0.6447 0.2500
0.3894 0.6106 0.5402
0.3894 0.6106 0.9598
0.6106 0.3894 0.0402
0.6106 0.3894 0.4598
0.6447 0.3553 0.7500
```

Top 10 peaks for 10 to 90 degrees two-theta, low angle first:
- d = 3.850 Å, 2θ = 23.10°, intensity 23
- d = 3.596 Å, 2θ = 24.76°, intensity 13
- d = 2.770 Å, 2θ = 32.32°, intensity 20
- d = 2.719 Å, 2θ = 32.94°, intensity 51
- d = 2.673 Å, 2θ = 33.53°, intensity 100
- d = 2.543 Å, 2θ = 35.30°, intensity 20
- d = 2.398 Å, 2θ = 37.50°, intensity 41
- d = 2.148 Å, 2θ = 42.06°, intensity 27
- d = 1.798 Å, 2θ = 50.78°, intensity 16
- d = 1.640 Å, 2θ = 56.07°, intensity 20

=====

Record 2
# ErAl3Ga2
Calculated XRD peak list, Cu Ka. Input: a structure optimized by DFT (PBE).
Intensities are scaled so that the largest is 100.

Atomic structure:
```
ErAl3Ga2
1.0
4.2054 0.0000 0.0000
0.0000 4.2054 0.0000
0.0000 0.0000 6.7429
Er Al Ga
1 3 2
direct
0.0000 0.0000 0.0000
0.0000 0.5000 0.3213
0.5000 0.0000 0.6787
0.5000 0.5000 0.0000
0.0000 0.5000 0.6996
0.5000 0.0000 0.3004
```

Top 10 peaks for 10 to 90 degrees two-theta, low angle first:
- d = 6.743 Å, 2θ = 13.13°, intensity 49
- d = 4.205 Å, 2θ = 21.13°, intensity 41
- d = 3.568 Å, 2θ = 24.95°, intensity 80
- d = 2.721 Å, 2θ = 32.92°, intensity 100
- d = 2.630 Å, 2θ = 34.08°, intensity 28
- d = 2.248 Å, 2θ = 40.12°, intensity 28
- d = 2.230 Å, 2θ = 40.45°, intensity 98
- d = 2.103 Å, 2θ = 43.02°, intensity 54
- d = 1.536 Å, 2θ = 60.27°, intensity 34
- d = 1.237 Å, 2θ = 77.10°, intensity 29

=====

Record 3
# Er12Al5Ga2
Calculated XRD peak list, Cu Ka. Input: a structure optimized by DFT (PBE).
Intensities are scaled so that the largest is 100.

Atomic structure:
```
Er12Al5Ga2
1.0
7.3727 -4.2476 0.0000
7.3727 4.2476 0.0000
-0.5759 0.0000 7.9472
Er Al Ga
12 5 2
direct
0.0393 0.0393 0.2082
0.0789 0.6354 0.0946
0.1434 0.5239 0.6502
0.3646 0.9211 0.9054
0.4492 0.4492 0.3378
0.4761 0.8566 0.3498
0.5239 0.1434 0.6502
0.5508 0.5508 0.6622
0.6354 0.0789 0.0946
0.8566 0.4761 0.3498
0.9211 0.3646 0.9054
0.9607 0.9607 0.7918
0.1439 0.1439 0.5704
0.2460 0.2460 0.2451
0.5000 0.5000 0.0000
0.7540 0.7540 0.7549
0.8561 0.8561 0.4296
0.1965 0.8035 0.5000
0.8035 0.1965 0.5000
```

Top 10 peaks for 10 to 90 degrees two-theta, low angle first:
- d = 3.678 Å, 2θ = 24.20°, intensity 57
- d = 3.607 Å, 2θ = 24.69°, intensity 34
- d = 2.780 Å, 2θ = 32.20°, intensity 38
- d = 2.749 Å, 2θ = 32.57°, intensity 25
- d = 2.681 Å, 2θ = 33.42°, intensity 28
- d = 2.652 Å, 2θ = 33.80°, intensity 100
- d = 2.609 Å, 2θ = 34.37°, intensity 54
- d = 2.522 Å, 2θ = 35.60°, intensity 33
- d = 2.367 Å, 2θ = 38.01°, intensity 46
- d = 2.123 Å, 2θ = 42.58°, intensity 37

=====

Record 4
# ErAlGaGe
Calculated XRD peak list, Cu Ka. Input: a structure optimized by DFT (PBE).
Intensities are scaled so that the largest is 100.

Atomic structure:
```
ErAlGaGe
1.0
4.0228 0.0000 0.0000
0.0000 4.0228 0.0000
0.0000 0.0000 9.6054
Er Al Ga Ge
2 2 2 2
direct
0.2500 0.2500 0.2467
0.7500 0.7500 0.7533
0.2500 0.7500 0.5000
0.7500 0.2500 0.5000
0.2500 0.7500 0.0000
0.7500 0.2500 0.0000
0.2500 0.2500 0.7270
0.7500 0.7500 0.2730
```

Top 10 peaks for 10 to 90 degrees two-theta, low angle first:
- d = 4.803 Å, 2θ = 18.47°, intensity 22
- d = 3.711 Å, 2θ = 23.98°, intensity 21
- d = 2.845 Å, 2θ = 31.45°, intensity 13
- d = 2.447 Å, 2θ = 36.72°, intensity 100
- d = 2.401 Å, 2θ = 37.45°, intensity 22
- d = 2.011 Å, 2θ = 45.07°, intensity 28
- d = 1.542 Å, 2θ = 60.00°, intensity 22
- d = 1.395 Å, 2θ = 67.09°, intensity 15
- d = 1.230 Å, 2θ = 77.65°, intensity 22
- d = 1.224 Å, 2θ = 78.10°, intensity 10

=====

Record 5
# LaEr2Al2Ga2
Calculated XRD peak list, Cu Ka. Input: a structure optimized by DFT (PBE).
Intensities are scaled so that the largest is 100.

Atomic structure:
```
LaEr2Al2Ga2
1.0
2.2125 1.2774 9.9428
-2.2125 1.2774 9.9428
0.0000 -2.5548 9.9428
La Er Al Ga
1 2 2 2
direct
0.0000 0.0000 0.0000
0.1305 0.1305 0.1305
0.8695 0.8695 0.8695
0.4010 0.4010 0.4010
0.5990 0.5990 0.5990
0.2506 0.2506 0.2506
0.7494 0.7494 0.7494
```

Top 10 peaks for 10 to 90 degrees two-theta, low angle first:
- d = 3.801 Å, 2θ = 23.40°, intensity 66
- d = 2.849 Å, 2θ = 31.39°, intensity 61
- d = 2.672 Å, 2θ = 33.53°, intensity 100
- d = 2.213 Å, 2θ = 40.78°, intensity 75
- d = 1.748 Å, 2θ = 52.35°, intensity 15
- d = 1.704 Å, 2θ = 53.79°, intensity 26
- d = 1.676 Å, 2θ = 54.76°, intensity 17
- d = 1.479 Å, 2θ = 62.83°, intensity 23
- d = 1.350 Å, 2θ = 69.64°, intensity 24
- d = 1.278 Å, 2θ = 74.23°, intensity 16

=====

Record 6
# Er2Al2GaNi5
Calculated XRD peak list, Cu Ka. Input: a structure optimized by DFT (PBE).
Intensities are scaled so that the largest is 100.

Atomic structure:
```
Er2Al2GaNi5
1.0
9.8116 0.0000 0.0000
0.0000 9.8116 0.0000
0.0000 0.0000 3.1582
Er Al Ga Ni
4 4 2 10
direct
0.1748 0.3252 0.0000
0.3252 0.8252 0.0000
0.6748 0.1748 0.0000
0.8252 0.6748 0.0000
0.1251 0.6251 0.0000
0.3749 0.1251 0.0000
0.6251 0.8749 0.0000
0.8749 0.3749 0.0000
0.0000 0.0000 0.0000
0.5000 0.5000 0.0000
0.0000 0.5000 0.5000
0.0500 0.8024 0.5000
0.1976 0.0500 0.5000
0.3024 0.5500 0.5000
0.4500 0.3024 0.5000
0.5000 0.0000 0.5000
0.5500 0.6976 0.5000
0.6976 0.4500 0.5000
0.8024 0.9500 0.5000
0.9500 0.1976 0.5000
```

Top 10 peaks for 10 to 90 degrees two-theta, low angle first:
- d = 4.388 Å, 2θ = 20.24°, intensity 43
- d = 2.656 Å, 2θ = 33.75°, intensity 19
- d = 2.563 Å, 2θ = 35.01°, intensity 61
- d = 2.380 Å, 2θ = 37.81°, intensity 76
- d = 2.335 Å, 2θ = 38.55°, intensity 32
- d = 2.313 Å, 2θ = 38.94°, intensity 41
- d = 2.213 Å, 2θ = 40.77°, intensity 100
- d = 2.062 Å, 2θ = 43.92°, intensity 18
- d = 1.579 Å, 2θ = 58.46°, intensity 29
- d = 1.316 Å, 2θ = 71.74°, intensity 22